NiH5CNCl2O2: calculated XRD peak list (CuKα), based on a DFT-relaxed cell (GGA+U, the Materials Project).

Cell and atoms:
abc: 7.889 11.381 6.772
angles: 90.00 103.58 90.00
Space group C2/c (No. 15)
Unique sites:
Ni1 0.000 0.000 0.000 x4
H1 0.000 0.323 0.250 x4
H2 0.010 0.273 0.878 x8
H3 0.108 0.380 0.766 x8
C1 0.000 0.226 0.250 x4
N1 0.000 0.326 0.750 x4
Cl1 0.221 0.041 0.811 x8
O1 0.003 0.177 0.082 x8

Main lines, in order of rising 2θ (10° ≤ 2θ ≤ 90°):
h k l  two_theta  I (rel.)
1 1 0  13.93  100
0 2 0  15.57  37
1 3 0  26.21  9
0 4 0  31.42  17
1 1 2  32.99  23
0 4 1  34.34  12
2 2 -2  35.22  13
3 1 -2  40.05  30
2 2 2  43.24  12
2 4 2  51.79  9